For CsErCoO3, a crystal structure in OQMD, relaxed with PBE+U gives the simulated XRD peak list in this record (copper Kα).
Intensities are scaled so that the largest is 100.

Structural model:
```
data_CsErCoO3
_cell_length_a 3.523
_cell_length_b 13.162
_cell_length_c 9.055
_cell_angle_alpha 90.00
_cell_angle_beta 90.00
_cell_angle_gamma 90.00
_space_group_name_H-M_alt 'C m c m'
_space_group_IT_number 63
_space_group_name_Hall '-C 2c 2'
loop_
_atom_site_label
_atom_site_fract_x
_atom_site_fract_y
_atom_site_fract_z
_atom_site_occupancy
Cs1 0.000 0.226 0.250 1
Er1 0.000 0.500 0.000 1
Co1 0.000 0.051 0.750 1
O1 0.000 0.104 0.552 1
O2 0.000 0.470 0.750 1
```

Main lines, low angle first (15° ≤ 2θ ≤ 90°):
23.9°, rel. 100.0, hkl 0 2 2
27.1°, rel. 51.6, hkl 0 4 0
28.0°, rel. 25.0, hkl 1 1 1
28.9°, rel. 19.6, hkl 0 4 1
32.6°, rel. 40.5, hkl 1 3 0
32.9°, rel. 71.4, hkl 1 1 2
34.1°, rel. 52.9, hkl 1 3 1
38.3°, rel. 21.8, hkl 1 3 2
39.8°, rel. 36.1, hkl 0 0 4
47.6°, rel. 43.3, hkl 1 5 2
48.8°, rel. 23.8, hkl 0 4 4
55.4°, rel. 19.8, hkl 1 7 0